No. 1
Simulated powder XRD pattern
Compound: LiMnPO4
Radiation: CuKα
Structure: the GGA+U geometry in the Materials Project
Intensities are scaled so that the largest is 100.

Most intense lines, 10° ≤ 2θ ≤ 90°, low angle first:
hkl 1 0 0, 13.1°, I 32.4
hkl 0 0 2, 18.0°, I 80.7
hkl 1 1 0, 22.9°, I 72.3
hkl 2 0 1, 28.0°, I 50.9
hkl 2 -1 2, 29.2°, I 100.0
hkl 2 0 2, 32.2°, I 41.3
hkl 2 1 0, 35.3°, I 20.3
hkl 0 0 4, 36.4°, I 31.3
hkl 1 0 4, 38.9°, I 21.9
hkl 3 -1 2, 39.8°, I 61.5
hkl 1 1 4, 43.4°, I 24.8
hkl 3 1 1, 49.7°, I 27.4

Crystal structure
a = 7.7755 Å, b = 7.7755 Å, c = 9.8743 Å
α = 90.00°, β = 90.00°, γ = 120.00°
Space group P31c (No. 159)
One atom of each set of equivalent atoms:
Li: 0.0341 0.5916 0.0000 (multiplicity 6)
Mn: 0.0528 0.2852 0.7772 (multiplicity 6)
P: 0.0000 0.0000 0.0118 (multiplicity 2)
P: 0.3333 0.6667 0.2836 (multiplicity 2)
P: 0.3333 0.6667 0.6858 (multiplicity 2)
O: 0.0000 0.0000 0.1735 (multiplicity 2)
O: 0.0791 0.8647 0.9603 (multiplicity 6)
O: 0.1236 0.5152 0.3412 (multiplicity 6)
O: 0.1861 0.7330 0.6343 (multiplicity 6)
O: 0.3333 0.6667 0.1271 (multiplicity 2)
O: 0.3333 0.6667 0.8434 (multiplicity 2)

No. 2
Simulated powder XRD pattern
Compound: LiMnP2O7
Radiation: CuKα
Structure: the GGA+U geometry in the Materials Project
Intensities are scaled so that the largest is 100.

Most intense lines, 10° ≤ 2θ ≤ 90°, low angle first:
hkl 0 2 1, 17.0°, I 100.0
hkl 0 0 2, 21.1°, I 40.6
hkl 1 1 -2, 22.0°, I 23.7
hkl 0 3 1, 22.6°, I 21.0
hkl 1 2 0, 24.2°, I 37.5
hkl 1 2 -2, 24.9°, I 26.3
hkl 1 2 1, 30.2°, I 20.0
hkl 1 2 -3, 31.3°, I 20.3
hkl 0 1 3, 32.6°, I 12.0
hkl 2 0 -2, 35.6°, I 13.3
hkl 1 4 1, 38.3°, I 9.4
hkl 1 2 2, 38.5°, I 11.3

Crystal structure
a = 5.0496 Å, b = 13.3548 Å, c = 9.6158 Å
α = 90.00°, β = 119.01°, γ = 90.00°
Space group P2_1/c (No. 14)
One atom of each set of equivalent atoms:
Li: 0.0074 0.1246 0.1583 (multiplicity 4)
Mn: 0.0453 0.6636 0.7462 (multiplicity 4)
P: 0.2692 0.1760 0.5381 (multiplicity 4)
P: 0.4829 0.0296 0.7752 (multiplicity 4)
O: 0.0465 0.1888 0.3632 (multiplicity 4)
O: 0.1531 0.2227 0.6459 (multiplicity 4)
O: 0.2312 0.0466 0.8219 (multiplicity 4)
O: 0.2612 0.6101 0.6419 (multiplicity 4)
O: 0.3177 0.0579 0.5831 (multiplicity 4)
O: 0.4013 0.0747 0.2043 (multiplicity 4)
O: 0.4176 0.7178 0.9202 (multiplicity 4)